# Cs4GeO4
Simulated powder diffractogram, copper Kα. Input: a cell relaxed with GGA-PBE.
Intensities are scaled so that the largest is 1000.

Cell: 7.091 19.728 7.112 Å, 90.00 113.13 90.00°
Atoms (fractional coordinates):
Cs 0.161 0.080 0.218
Cs 0.161 0.420 0.718
Cs 0.191 0.215 0.672
Cs 0.191 0.285 0.172
Cs 0.285 0.015 0.746
Cs 0.285 0.485 0.246
Cs 0.320 0.690 0.322
Cs 0.320 0.810 0.822
Cs 0.680 0.190 0.178
Cs 0.680 0.310 0.678
Cs 0.715 0.515 0.754
Cs 0.715 0.985 0.254
Cs 0.809 0.715 0.828
Cs 0.809 0.785 0.328
Cs 0.839 0.580 0.282
Cs 0.839 0.920 0.782
Ge 0.241 0.623 0.796
Ge 0.241 0.877 0.296
Ge 0.759 0.123 0.704
Ge 0.759 0.377 0.204
O 0.078 0.686 0.614
O 0.078 0.814 0.114
O 0.102 0.595 0.948
O 0.102 0.905 0.448
O 0.283 0.556 0.646
O 0.283 0.944 0.146
O 0.480 0.662 0.960
O 0.480 0.838 0.460
O 0.520 0.162 0.540
O 0.520 0.338 0.040
O 0.717 0.056 0.854
O 0.717 0.444 0.354
O 0.898 0.095 0.552
O 0.898 0.405 0.052
O 0.922 0.186 0.886
O 0.922 0.314 0.386

Principal peaks in the range 10 to 80 degrees two-theta, by intensity:
2θ (°), Rel. int.
27.15, 1000
27.31, 797
32.22, 521
30.16, 517
27.68, 440
26.40, 302
29.13, 282
48.18, 185

***

# Ca2TiN2
Simulated powder diffractogram, copper Kα. Input: a cell relaxed with GGA-PBE.
Intensities are scaled so that the largest is 1000.

Cell: 6.006 6.006 6.773 Å, 112.43 112.43 50.19°
Atoms (fractional coordinates):
Ca 0.018 0.018 0.252
Ca 0.325 0.325 0.900
Ca 0.675 0.675 0.100
Ca 0.982 0.982 0.748
Ti 0.358 0.358 0.383
Ti 0.642 0.642 0.617
N 0.190 0.190 0.125
N 0.498 0.498 0.711
N 0.502 0.502 0.289
N 0.810 0.810 0.875

Principal peaks in the range 10 to 80 degrees two-theta, by intensity:
2θ (°), Rel. int.
35.23, 1000
31.89, 941
32.41, 891
35.83, 592
40.63, 526
51.12, 444
54.84, 392
22.03, 246

***

Copy entry 2 word for word.
# Ca2TiN2
Simulated powder diffractogram, copper Kα. Input: a cell relaxed with GGA-PBE.
Intensities are scaled so that the largest is 1000.

Cell: 6.006 6.006 6.773 Å, 112.43 112.43 50.19°
Atoms (fractional coordinates):
Ca 0.018 0.018 0.252
Ca 0.325 0.325 0.900
Ca 0.675 0.675 0.100
Ca 0.982 0.982 0.748
Ti 0.358 0.358 0.383
Ti 0.642 0.642 0.617
N 0.190 0.190 0.125
N 0.498 0.498 0.711
N 0.502 0.502 0.289
N 0.810 0.810 0.875

Principal peaks in the range 10 to 80 degrees two-theta, by intensity:
2θ (°), Rel. int.
35.23, 1000
31.89, 941
32.41, 891
35.83, 592
40.63, 526
51.12, 444
54.84, 392
22.03, 246

***

What did the first record say?
# Cs4GeO4
Simulated powder diffractogram, copper Kα. Input: a cell relaxed with GGA-PBE.
Intensities are scaled so that the largest is 1000.

Cell: 7.091 19.728 7.112 Å, 90.00 113.13 90.00°
Atoms (fractional coordinates):
Cs 0.161 0.080 0.218
Cs 0.161 0.420 0.718
Cs 0.191 0.215 0.672
Cs 0.191 0.285 0.172
Cs 0.285 0.015 0.746
Cs 0.285 0.485 0.246
Cs 0.320 0.690 0.322
Cs 0.320 0.810 0.822
Cs 0.680 0.190 0.178
Cs 0.680 0.310 0.678
Cs 0.715 0.515 0.754
Cs 0.715 0.985 0.254
Cs 0.809 0.715 0.828
Cs 0.809 0.785 0.328
Cs 0.839 0.580 0.282
Cs 0.839 0.920 0.782
Ge 0.241 0.623 0.796
Ge 0.241 0.877 0.296
Ge 0.759 0.123 0.704
Ge 0.759 0.377 0.204
O 0.078 0.686 0.614
O 0.078 0.814 0.114
O 0.102 0.595 0.948
O 0.102 0.905 0.448
O 0.283 0.556 0.646
O 0.283 0.944 0.146
O 0.480 0.662 0.960
O 0.480 0.838 0.460
O 0.520 0.162 0.540
O 0.520 0.338 0.040
O 0.717 0.056 0.854
O 0.717 0.444 0.354
O 0.898 0.095 0.552
O 0.898 0.405 0.052
O 0.922 0.186 0.886
O 0.922 0.314 0.386

Principal peaks in the range 10 to 80 degrees two-theta, by intensity:
2θ (°), Rel. int.
27.15, 1000
27.31, 797
32.22, 521
30.16, 517
27.68, 440
26.40, 302
29.13, 282
48.18, 185